PtS2O4: theoretical X-ray diffraction stick pattern (λ = 1.5418 Å (Cu Kα)), based on a cell relaxed with PBE.
Neutral-atom scattering factors, no anomalous dispersion.

Cell and atoms:
```
7
Lattice="3.817 0.000 0.000 0.000 3.817 0.000 0.000 0.000 5.396" Properties=species:S:1:pos:R:3 pbc="T T T"
Pt 0.000 0.000 0.000
S 0.000 0.000 2.698
S 1.908 1.908 0.000
O 0.000 1.908 1.275
O 0.000 1.908 4.121
O 1.908 0.000 1.275
O 1.908 0.000 4.121
```

Largest 10 diffraction maxima, by angle, 2θ from 10° to 90°:
| 2θ (°) | Rel. int. | h k l |
| --- | --- | --- |
| 16.43 | 99.5 | 0 0 1 |
| 23.31 | 82.7 | 1 0 0 |
| 28.65 | 40.8 | 1 0 1 |
| 33.20 | 50.5 | 0 0 2 |
| 37.25 | 47.1 | 1 1 1 |
| 40.96 | 38.6 | 1 0 2 |
| 47.66 | 100.0 | 2 0 0 |
| 50.75 | 26.5 | 2 0 1 |
| 56.55 | 21.5 | 2 1 1 |
| 88.82 | 31.8 | 3 1 2 |